The following is a theoretical X-ray powder pattern of Sr3Fe2MoO9. It was derived from a cell relaxed with PBE+U, using Cu Kα, 1.54184 Å.

Top 10 peaks for 2θ from 10° to 80°, by angle:
d 2.826, 31.66°, I = 100
d 2.809, 31.86°, I = 53
d 2.011, 45.09°, I = 19
d 1.986, 45.68°, I = 35
d 1.636, 56.24°, I = 10
d 1.635, 56.28°, I = 10
d 1.626, 56.62°, I = 29
d 1.623, 56.71°, I = 10
d 1.413, 66.12°, I = 20
d 1.256, 75.70°, I = 8

Structure:
Cell: 9.7512 9.7512 5.6132 Å, 106.63 106.63 48.72°
Sites, in units of the cell vectors:
1 Sr 0.0812 0.6000 0.3433
2 Sr 0.2324 0.7676 0.0000
3 Sr 0.4000 0.9188 0.6567
4 Sr 0.6000 0.0812 0.3433
5 Sr 0.7676 0.2324 0.0000
6 Sr 0.9188 0.4000 0.6567
7 Fe 0.0000 0.0000 0.5000
8 Fe 0.1654 0.1654 0.1651
9 Fe 0.5000 0.5000 0.5000
10 Fe 0.8346 0.8346 0.8349
11 Mo 0.3328 0.3328 0.8348
12 Mo 0.6672 0.6672 0.1652
13 O 0.0760 0.0760 0.2975
14 O 0.0878 0.5723 0.8300
15 O 0.0960 0.0960 0.8196
16 O 0.2402 0.2402 0.5354
17 O 0.2566 0.7434 0.5000
18 O 0.2668 0.2668 0.0531
19 O 0.4002 0.4002 0.6194
20 O 0.4270 0.4270 0.1255
21 O 0.4277 0.9122 0.1700
22 O 0.5723 0.0878 0.8300
23 O 0.5730 0.5730 0.8745
24 O 0.5998 0.5998 0.3806
25 O 0.7332 0.7332 0.9469
26 O 0.7434 0.2566 0.5000
27 O 0.7598 0.7598 0.4646
28 O 0.9040 0.9040 0.1804
29 O 0.9122 0.4277 0.1700
30 O 0.9240 0.9240 0.7025